Starting from a crystal structure in Alexandria, relaxed with PBE, the XRD peak list of NdDy2Y2 was computed for copper Kα.
Peak positions follow from Bragg's law for the DFT cell and can differ from measured ones.

Structure:
```
NdDy2Y2
1.0
6.2124 -2.9183 0.0000
6.2124 2.9183 0.0000
-3.2456 0.0000 9.0541
Nd Dy Y
2 4 4
direct
0.0500 0.0500 0.3477
0.9500 0.9500 0.6523
0.1542 0.1542 0.0440
0.2631 0.2631 0.7372
0.7369 0.7369 0.2628
0.8458 0.8458 0.9560
0.3548 0.3548 0.4268
0.4453 0.4453 0.1323
0.5547 0.5547 0.8677
0.6452 0.6452 0.5732
```

Top 8 peaks for 15° ≤ 2θ ≤ 90°, low angle first:
d [Å], Rel. int.
2.952, 52.6
2.918, 56.1
2.812, 100.0
2.802, 93.1
2.075, 38.6
1.678, 21.7
1.663, 40.3
1.596, 23.7


Starting from a crystal structure in Alexandria, relaxed with PBE, the XRD peak list of Nd6DyY12 was computed for copper Kα.
Peak positions follow from Bragg's law for the DFT cell and can differ from measured ones.

Structure:
```
Nd6DyY12
1.0
5.6003 3.2334 5.8801
-5.6003 3.2334 5.8801
0.0000 -6.4667 5.8801
Nd Dy Y
6 1 12
direct
0.2695 0.2695 0.6634
0.2695 0.6634 0.2695
0.3366 0.7305 0.7305
0.6634 0.2695 0.2695
0.7305 0.3366 0.7305
0.7305 0.7305 0.3366
0.5000 0.5000 0.5000
0.0152 0.0152 0.6960
0.0152 0.3632 0.3632
0.0152 0.6960 0.0152
0.3040 0.9848 0.9848
0.3632 0.0152 0.3632
0.3632 0.3632 0.0152
0.6368 0.6368 0.9848
0.6368 0.9848 0.6368
0.6960 0.0152 0.0152
0.9848 0.3040 0.9848
0.9848 0.6368 0.6368
0.9848 0.9848 0.3040
```

Top 8 peaks for 15° ≤ 2θ ≤ 90°, low angle first:
d [Å], Rel. int.
3.233, 17.4
2.940, 20.0
2.833, 100.0
2.175, 20.2
1.867, 18.5
1.676, 13.9
1.576, 11.8
1.559, 11.6


Starting from a crystal structure in Alexandria, relaxed with PBE, the XRD peak list of Nd7DyY2 was computed for copper Kα.
Peak positions follow from Bragg's law for the DFT cell and can differ from measured ones.

Structure:
```
Nd7DyY2
1.0
6.0723 -8.4959 0.0000
6.0723 8.4959 0.0000
0.0000 0.0000 3.5299
Nd Dy Y
7 1 2
direct
0.0000 0.0000 0.0000
0.1158 0.3737 0.0000
0.1761 0.8239 0.5000
0.3737 0.1158 0.0000
0.6263 0.8842 0.0000
0.8239 0.1761 0.5000
0.8842 0.6263 0.0000
0.5000 0.5000 0.5000
0.3328 0.6672 0.0000
0.6672 0.3328 0.0000
```

Top 8 peaks for 15° ≤ 2θ ≤ 90°, low angle first:
d [Å], Rel. int.
3.481, 69.8
3.052, 48.4
3.036, 89.1
2.909, 100.0
2.832, 28.9
2.567, 27.9
2.478, 34.1
2.408, 68.8


Starting from a crystal structure in Alexandria, relaxed with PBE, the XRD peak list of Nd12DyY7 was computed for copper Kα.
Peak positions follow from Bragg's law for the DFT cell and can differ from measured ones.

Structure:
```
Nd12DyY7
1.0
6.1806 3.5684 5.2443
-6.1806 3.5684 5.2443
0.0000 -7.1368 5.2443
Nd Dy Y
12 1 7
direct
0.0102 0.3602 0.8859
0.1141 0.9898 0.6398
0.2266 0.7613 0.3544
0.2387 0.6456 0.7734
0.3544 0.2266 0.7613
0.3602 0.8859 0.0102
0.6398 0.1141 0.9898
0.6456 0.7734 0.2387
0.7613 0.3544 0.2266
0.7734 0.2387 0.6456
0.8859 0.0102 0.3602
0.9898 0.6398 0.1141
0.5000 0.5000 0.5000
0.0000 0.0000 0.0000
0.1129 0.3514 0.4342
0.3514 0.4342 0.1129
0.4342 0.1129 0.3514
0.5658 0.8871 0.6486
0.6486 0.5658 0.8871
0.8871 0.6486 0.5658
```

Top 8 peaks for 15° ≤ 2θ ≤ 90°, low angle first:
d [Å], Rel. int.
3.019, 26.7
2.950, 32.5
2.918, 100.0
2.820, 51.3
2.778, 49.8
2.713, 23.7
2.414, 16.9
1.714, 15.2


Starting from a crystal structure in Alexandria, relaxed with PBE, the XRD peak list of Nd8DyY3 was computed for copper Kα.
Peak positions follow from Bragg's law for the DFT cell and can differ from measured ones.

Structure:
```
Nd8DyY3
1.0
-3.3367 5.6565 5.8470
3.3367 -5.6565 5.8470
3.3367 5.6565 -5.8470
Nd Dy Y
8 1 3
direct
0.0876 0.2498 0.8374
0.2317 0.2373 0.4991
0.2619 0.7627 0.9945
0.4124 0.2502 0.1626
0.5876 0.7502 0.8378
0.7381 0.7326 0.5009
0.7683 0.2674 0.0055
0.9124 0.7498 0.1622
0.0000 0.0000 0.0000
0.2489 0.7489 0.5000
0.5000 0.5000 0.0000
0.7511 0.2511 0.5000
```

Top 8 peaks for 15° ≤ 2θ ≤ 90°, low angle first:
d [Å], Rel. int.
5.748, 36.2
2.923, 61.5
2.898, 58.7
2.874, 27.5
2.863, 100.0
2.579, 58.7
2.546, 33.7
1.431, 27.4


Starting from a crystal structure in Alexandria, relaxed with PBE, the XRD peak list of Nd2Dy5Y12 was computed for copper Kα.
Peak positions follow from Bragg's law for the DFT cell and can differ from measured ones.

Structure:
```
Nd2Dy5Y12
1.0
6.2367 0.0000 0.0000
-2.5657 8.7077 0.0000
-0.0008 -0.4520 11.4106
Nd Dy Y
2 5 12
direct
0.0000 0.0000 0.0000
0.4818 0.8513 0.9248
0.1784 0.6878 0.6691
0.3901 0.3624 0.6288
0.4050 0.3454 0.3442
0.4104 0.9986 0.2002
0.8804 0.3339 0.5244
0.0462 0.3585 0.8436
0.0929 0.6312 0.0586
0.1436 0.6577 0.3587
0.4282 0.3531 0.0485
0.4311 0.0121 0.5067
0.5036 0.1510 0.8102
0.6422 0.6943 0.1928
0.6667 0.6897 0.5091
0.6977 0.5977 0.8338
0.8864 0.3026 0.1873
0.9311 0.9992 0.6852
0.9428 0.0109 0.3574
```

Top 8 peaks for 15° ≤ 2θ ≤ 90°, low angle first:
d [Å], Rel. int.
3.194, 26.0
2.915, 45.1
2.900, 48.6
2.887, 15.6
2.873, 32.6
2.835, 100.0
2.753, 44.5
2.611, 29.0


Starting from a crystal structure in Alexandria, relaxed with PBE, the XRD peak list of Nd3Dy4Y3 was computed for copper Kα.
Peak positions follow from Bragg's law for the DFT cell and can differ from measured ones.

Structure:
```
Nd3Dy4Y3
1.0
3.7117 0.0000 0.0000
0.0000 6.6802 6.7184
0.0000 -6.6802 6.7184
Nd Dy Y
3 4 3
direct
0.0000 0.0000 0.0000
0.0000 0.4990 0.8458
0.0000 0.8458 0.4990
0.5000 0.0488 0.2994
0.5000 0.2994 0.0488
0.5000 0.5466 0.5466
0.5000 0.7990 0.7990
0.0000 0.3463 0.3463
0.5000 0.1746 0.6679
0.5000 0.6679 0.1746
```

Top 8 peaks for 15° ≤ 2θ ≤ 90°, low angle first:
d [Å], Rel. int.
3.001, 24.7
2.991, 23.7
2.922, 18.4
2.792, 100.0
2.369, 9.4
1.954, 10.1
1.856, 10.8
1.578, 17.3


Starting from a crystal structure in Alexandria, relaxed with PBE, the XRD peak list of Nd5Dy5Y was computed for copper Kα.
Peak positions follow from Bragg's law for the DFT cell and can differ from measured ones.

Structure:
```
Nd5Dy5Y
1.0
6.1461 0.0000 0.0000
-3.0731 5.3227 0.0000
0.0000 0.0000 11.7442
Nd Dy Y
5 5 1
direct
0.0000 0.0000 0.0000
0.3333 0.6667 0.3165
0.3333 0.6667 0.6835
0.6667 0.3333 0.1546
0.6667 0.3333 0.8454
0.0000 0.0000 0.2655
0.0000 0.0000 0.7345
0.3339 0.1670 0.5000
0.8330 0.1670 0.5000
0.8330 0.6661 0.5000
0.3333 0.6667 0.0000
```

Top 8 peaks for 15° ≤ 2θ ≤ 90°, low angle first:
d [Å], Rel. int.
3.154, 100.0
3.073, 88.0
2.973, 28.6
2.723, 38.7
2.596, 49.1
2.571, 41.6
1.789, 38.8
1.537, 30.8


Starting from a crystal structure in Alexandria, relaxed with PBE, the XRD peak list of Nd6Dy7Y16 was computed for copper Kα.
Peak positions follow from Bragg's law for the DFT cell and can differ from measured ones.

Structure:
```
Nd6Dy7Y16
1.0
0.0000 7.9511 7.9511
7.9511 0.0000 7.9511
7.9511 7.9511 0.0000
Nd Dy Y
6 7 16
direct
0.2286 0.2286 0.7714
0.2286 0.7714 0.2286
0.2286 0.7714 0.7714
0.7714 0.2286 0.2286
0.7714 0.2286 0.7714
0.7714 0.7714 0.2286
0.0000 0.0000 0.5000
0.0000 0.5000 0.0000
0.0000 0.5000 0.5000
0.5000 0.0000 0.0000
0.5000 0.0000 0.5000
0.5000 0.5000 0.0000
0.5000 0.5000 0.5000
0.1239 0.6254 0.6254
0.1511 0.1511 0.1511
0.1511 0.1511 0.5467
0.1511 0.5467 0.1511
0.3746 0.3746 0.3746
0.3746 0.3746 0.8761
0.3746 0.8761 0.3746
0.4533 0.8489 0.8489
0.5467 0.1511 0.1511
0.6254 0.1239 0.6254
0.6254 0.6254 0.1239
0.6254 0.6254 0.6254
0.8489 0.4533 0.8489
0.8489 0.8489 0.4533
0.8489 0.8489 0.8489
0.8761 0.3746 0.3746
```

Top 8 peaks for 15° ≤ 2θ ≤ 90°, low angle first:
d [Å], Rel. int.
5.622, 7.1
3.246, 8.6
3.060, 10.2
2.811, 100.0
1.988, 14.5
1.623, 27.0
1.406, 7.4
1.257, 7.9


Starting from a crystal structure in Alexandria, relaxed with PBE, the XRD peak list of Nd5Dy12Y2 was computed for copper Kα.
Peak positions follow from Bragg's law for the DFT cell and can differ from measured ones.

Structure:
```
Nd5Dy12Y2
1.0
9.1849 -3.5267 0.0000
9.1849 3.5267 0.0000
-3.7403 0.0000 9.7857
Nd Dy Y
5 12 2
direct
0.0000 0.0000 0.0000
0.1878 0.1878 0.6826
0.3190 0.3190 0.2887
0.6810 0.6810 0.7113
0.8122 0.8122 0.3174
0.0256 0.0256 0.7488
0.0888 0.5944 0.6304
0.0895 0.5837 0.9778
0.4056 0.9112 0.3696
0.4163 0.9105 0.0222
0.4975 0.4975 0.8254
0.5025 0.5025 0.1746
0.5837 0.0895 0.9778
0.5944 0.0888 0.6304
0.9105 0.4163 0.0222
0.9112 0.4056 0.3696
0.9744 0.9744 0.2512
0.2700 0.7300 0.5000
0.7300 0.2700 0.5000
```

Top 8 peaks for 15° ≤ 2θ ≤ 90°, low angle first:
d [Å], Rel. int.
3.262, 35.8
3.206, 33.5
2.976, 61.4
2.860, 100.0
2.793, 29.7
2.741, 33.9
2.723, 38.7
1.763, 17.0


Starting from a crystal structure in Alexandria, relaxed with PBE, the XRD peak list of Nd12Dy5Y was computed for copper Kα.
Peak positions follow from Bragg's law for the DFT cell and can differ from measured ones.

Structure:
```
Nd12Dy5Y
1.0
7.7132 -7.7318 0.0000
7.7132 7.7318 0.0000
0.0000 0.0000 5.1571
Nd Dy Y
12 5 1
direct
0.0018 0.6685 0.5000
0.1650 0.1650 0.0000
0.1677 0.5015 0.0000
0.3315 0.9982 0.5000
0.3342 0.3342 0.5000
0.4985 0.8323 0.0000
0.5015 0.1677 0.0000
0.6658 0.6658 0.5000
0.6685 0.0018 0.5000
0.8323 0.4985 0.0000
0.8350 0.8350 0.0000
0.9982 0.3315 0.5000
0.0000 0.0000 0.5000
0.1669 0.8331 0.0000
0.3332 0.6668 0.5000
0.6668 0.3332 0.5000
0.8331 0.1669 0.0000
0.5000 0.5000 0.0000
```

Top 8 peaks for 15° ≤ 2θ ≤ 90°, low angle first:
d [Å], Rel. int.
2.974, 100.0
2.578, 33.9
2.571, 16.8
1.821, 36.2
1.554, 28.8
1.551, 14.3
1.487, 12.4
1.181, 11.7


Starting from a crystal structure in Alexandria, relaxed with PBE, the XRD peak list of Nd5DyY4 was computed for copper Kα.
Peak positions follow from Bragg's law for the DFT cell and can differ from measured ones.

Structure:
```
Nd5DyY4
1.0
-5.3121 5.3121 3.0552
5.3121 -5.3121 3.0552
5.3121 5.3121 -3.0552
Nd Dy Y
5 1 4
direct
0.0000 0.0000 0.0000
0.5423 0.5423 0.6232
0.5423 0.9191 0.0000
0.9191 0.5423 0.0000
0.9191 0.9191 0.3768
0.4651 0.4651 0.0000
0.2430 0.5675 0.3244
0.2430 0.9186 0.6756
0.5675 0.2430 0.3244
0.9186 0.2430 0.6756
```

Top 8 peaks for 15° ≤ 2θ ≤ 90°, low angle first:
d [Å], Rel. int.
3.063, 100.0
2.655, 17.8
2.648, 28.5
2.504, 39.6
2.260, 14.5
1.876, 13.3
1.565, 15.8
1.533, 16.9


Repeat the second record exactly.
Starting from a crystal structure in Alexandria, relaxed with PBE, the XRD peak list of Nd6DyY12 was computed for copper Kα.
Peak positions follow from Bragg's law for the DFT cell and can differ from measured ones.

Structure:
```
Nd6DyY12
1.0
5.6003 3.2334 5.8801
-5.6003 3.2334 5.8801
0.0000 -6.4667 5.8801
Nd Dy Y
6 1 12
direct
0.2695 0.2695 0.6634
0.2695 0.6634 0.2695
0.3366 0.7305 0.7305
0.6634 0.2695 0.2695
0.7305 0.3366 0.7305
0.7305 0.7305 0.3366
0.5000 0.5000 0.5000
0.0152 0.0152 0.6960
0.0152 0.3632 0.3632
0.0152 0.6960 0.0152
0.3040 0.9848 0.9848
0.3632 0.0152 0.3632
0.3632 0.3632 0.0152
0.6368 0.6368 0.9848
0.6368 0.9848 0.6368
0.6960 0.0152 0.0152
0.9848 0.3040 0.9848
0.9848 0.6368 0.6368
0.9848 0.9848 0.3040
```

Top 8 peaks for 15° ≤ 2θ ≤ 90°, low angle first:
d [Å], Rel. int.
3.233, 17.4
2.940, 20.0
2.833, 100.0
2.175, 20.2
1.867, 18.5
1.676, 13.9
1.576, 11.8
1.559, 11.6